ZrCo6W: theoretical PXRD pattern (λ = 1.5418 Å (Cu Kα)), based on a DFT-relaxed cell (PBE, Alexandria).

Cell: 6.3270 6.3270 10.3714 Å, 90.00 90.00 109.50°
Positions (direct):
Zr1 0.0000 0.0000 0.2499
Zr2 0.0000 0.0000 0.7501
Zr3 0.2473 0.7527 0.0000
Zr4 0.7527 0.2473 0.0000
Co1 0.0000 0.0000 0.0000
Co2 0.0000 0.0000 0.5000
Co3 0.1299 0.3844 0.3802
Co4 0.1299 0.3844 0.6198
Co5 0.1352 0.3815 0.1308
Co6 0.1352 0.3815 0.8692
Co7 0.2553 0.7447 0.2585
Co8 0.2553 0.7447 0.7415
Co9 0.3815 0.1352 0.1308
Co10 0.3815 0.1352 0.8692
Co11 0.3844 0.1299 0.3802
Co12 0.3844 0.1299 0.6198
Co13 0.5000 0.5000 0.0000
Co14 0.5000 0.5000 0.5000
Co15 0.6156 0.8701 0.3802
Co16 0.6156 0.8701 0.6198
Co17 0.6185 0.8648 0.1308
Co18 0.6185 0.8648 0.8692
Co19 0.7447 0.2553 0.2585
Co20 0.7447 0.2553 0.7415
Co21 0.8648 0.6185 0.1308
Co22 0.8648 0.6185 0.8692
Co23 0.8701 0.6156 0.3802
Co24 0.8701 0.6156 0.6198
W1 0.2462 0.7538 0.5000
W2 0.5000 0.5000 0.2486
W3 0.5000 0.5000 0.7514
W4 0.7538 0.2462 0.5000

Most intense lines, 2θ = 10–90°, sorted by position:
2θ (°)  I/Imax
24.34  36
42.77  100
42.88  100
49.83  63
73.24  46
88.77  34